# 1
# C
Simulated powder XRD pattern, Cu Kα X-rays. Input: a cell relaxed with PBE.
No peak broadening, texture or thermal motion is included.

Atomic structure:
```
data_C
_space_group_name_H-M_alt 'I 4/m m m'
_space_group_IT_number 139
_space_group_name_Hall '-I 4 2'
_cell_length_a 6.764
_cell_length_b 6.764
_cell_length_c 6.567
_cell_angle_alpha 90.00
_cell_angle_beta 90.00
_cell_angle_gamma 90.00
loop_
_atom_site_label
_atom_site_fract_x
_atom_site_fract_y
_atom_site_fract_z
C1 0.121 0.121 0.000
C2 0.209 0.209 0.179
```

Main lines, low angle first (10° ≤ 2θ ≤ 90°):
18.55°, 4.783 Å, intensity 25, (1 1 0)
18.83°, 4.712 Å, intensity 100, (1 0 1)
26.35°, 3.382 Å, intensity 61, (2 0 0)
37.61°, 2.391 Å, intensity 14, (2 2 0)
38.20°, 2.356 Å, intensity 15, (2 0 2)
42.25°, 2.139 Å, intensity 5, (3 1 0)
42.39°, 2.132 Å, intensity 12, (3 0 1)
84.12°, 1.151 Å, intensity 7, (5 0 3)

---

# 2
# C
Simulated powder XRD pattern, Cu Kα X-rays. Input: a cell relaxed with PBE.
No peak broadening, texture or thermal motion is included.

Atomic structure:
```
data_C
_space_group_name_H-M_alt 'P 63/m m c'
_space_group_IT_number 194
_space_group_name_Hall '-P 6c 2c'
_cell_length_a 2.5223
_cell_length_b 2.5223
_cell_length_c 12.4339
_cell_angle_alpha 90.00
_cell_angle_beta 90.00
_cell_angle_gamma 120.00
loop_
_atom_site_label
_atom_site_fract_x
_atom_site_fract_y
_atom_site_fract_z
C1 0.0000 0.0000 0.1869
C2 0.3333 0.6667 0.0208
C3 0.3333 0.6667 0.1451
```

Main lines, low angle first (10° ≤ 2θ ≤ 90°):
42.00°, 2.151 Å, intensity 68, (1 0 1)
43.68°, 2.072 Å, intensity 68, (0 0 6)
43.94°, 2.061 Å, intensity 100, (1 0 2)
47.02°, 1.932 Å, intensity 31, (1 0 3)
68.03°, 1.378 Å, intensity 10, (1 0 7)
75.00°, 1.266 Å, intensity 27, (1 0 8)
75.37°, 1.261 Å, intensity 51, (1 1 0)
82.64°, 1.168 Å, intensity 23, (1 0 9)